No. 1
# Ti3TlN
Computed powder X-ray diffraction pattern, copper Kα. Input: a structure optimized by DFT (GGA-PBE).
No peak broadening, texture or thermal motion is included.

Principal peaks in the range 2θ = 15–90°, low angle first:
- 4.214 Å, 2θ = 21.1°, I = 51.1
- 2.980 Å, 2θ = 30.0°, I = 66.1
- 2.433 Å, 2θ = 36.9°, I = 100.0
- 2.107 Å, 2θ = 42.9°, I = 56.7
- 1.885 Å, 2θ = 48.3°, I = 27.0
- 1.720 Å, 2θ = 53.2°, I = 27.5
- 1.490 Å, 2θ = 62.3°, I = 35.8
- 1.405 Å, 2θ = 66.6°, I = 13.9
- 1.271 Å, 2θ = 74.7°, I = 36.9
- 1.126 Å, 2θ = 86.4°, I = 14.8

Unit cell a=4.214 b=4.214 c=4.214 alpha=90.00 beta=90.00 gamma=90.00
Positions (direct):
Ti  0.000  0.000  0.500
Ti  0.000  0.500  0.000
Ti  0.500  0.000  0.000
Tl  0.500  0.500  0.500
N  0.000  0.000  0.000

***

No. 2
# RbLi2O3
Computed powder X-ray diffraction pattern, copper Kα. Input: a structure optimized by DFT (GGA-PBE).
No peak broadening, texture or thermal motion is included.

Principal peaks in the range 2θ = 15–90°, low angle first:
- 4.044 Å, 2θ = 22.0°, I = 100.0
- 3.774 Å, 2θ = 23.6°, I = 12.7
- 3.003 Å, 2θ = 29.8°, I = 42.7
- 2.875 Å, 2θ = 31.1°, I = 35.3
- 2.846 Å, 2θ = 31.4°, I = 17.5
- 2.664 Å, 2θ = 33.6°, I = 24.0
- 2.547 Å, 2θ = 35.2°, I = 59.1
- 2.293 Å, 2θ = 39.3°, I = 18.7
- 2.092 Å, 2θ = 43.2°, I = 18.6
- 2.077 Å, 2θ = 43.6°, I = 22.8

Unit cell a=6.070 b=5.751 c=6.088 alpha=90.00 beta=110.72 gamma=90.00
Positions (direct):
Rb  0.156  0.250  0.278
Rb  0.844  0.750  0.722
Li  0.349  0.007  0.815
Li  0.349  0.493  0.815
Li  0.651  0.507  0.185
Li  0.651  0.993  0.185
O  0.131  0.250  0.798
O  0.334  0.750  0.616
O  0.430  0.750  0.031
O  0.570  0.250  0.969
O  0.666  0.250  0.384
O  0.869  0.750  0.202

***

No. 3
# KSb2
Computed powder X-ray diffraction pattern, copper Kα. Input: a structure optimized by DFT (GGA-PBE).
No peak broadening, texture or thermal motion is included.

Principal peaks in the range 2θ = 15–90°, low angle first:
- 5.238 Å, 2θ = 16.9°, I = 26.4
- 4.922 Å, 2θ = 18.0°, I = 40.1
- 3.290 Å, 2θ = 27.1°, I = 23.6
- 3.200 Å, 2θ = 27.9°, I = 100.0
- 3.130 Å, 2θ = 28.5°, I = 60.9
- 2.968 Å, 2θ = 30.1°, I = 88.0
- 2.730 Å, 2θ = 32.8°, I = 46.9
- 2.390 Å, 2θ = 37.6°, I = 26.1
- 2.231 Å, 2θ = 40.4°, I = 46.3
- 2.152 Å, 2θ = 42.0°, I = 28.2

Unit cell a=14.379 b=4.304 c=7.185 alpha=90.00 beta=93.56 gamma=90.00
Positions (direct):
K  0.134  0.000  0.130
K  0.366  0.500  0.870
K  0.634  0.500  0.130
K  0.866  0.000  0.870
Sb  0.052  0.500  0.681
Sb  0.185  0.000  0.628
Sb  0.315  0.500  0.372
Sb  0.448  0.000  0.319
Sb  0.552  0.000  0.681
Sb  0.685  0.500  0.628
Sb  0.815  0.000  0.372
Sb  0.948  0.500  0.319

***

No. 4
# YAsS
Computed powder X-ray diffraction pattern, copper Kα. Input: a structure optimized by DFT (GGA-PBE).
No peak broadening, texture or thermal motion is included.

Principal peaks in the range 2θ = 15–90°, low angle first:
- 3.504 Å, 2θ = 25.4°, I = 45.1
- 2.844 Å, 2θ = 31.5°, I = 44.3
- 2.590 Å, 2θ = 34.6°, I = 76.4
- 2.292 Å, 2θ = 39.3°, I = 100.0
- 1.926 Å, 2θ = 47.2°, I = 20.3
- 1.918 Å, 2θ = 47.4°, I = 20.0
- 1.595 Å, 2θ = 57.8°, I = 14.8
- 1.590 Å, 2θ = 58.0°, I = 14.6
- 1.445 Å, 2θ = 64.5°, I = 16.1
- 1.359 Å, 2θ = 69.1°, I = 12.5

Unit cell a=3.835 b=3.853 c=8.532 alpha=90.00 beta=90.00 gamma=90.00
Positions (direct):
Y  0.250  0.250  0.208
Y  0.750  0.750  0.792
As  0.250  0.750  0.496
As  0.750  0.250  0.504
S  0.250  0.250  0.873
S  0.750  0.750  0.127

***

No. 5
# InPt
Computed powder X-ray diffraction pattern, copper Kα. Input: a structure optimized by DFT (GGA-PBE).
No peak broadening, texture or thermal motion is included.

Principal peaks in the range 2θ = 15–90°, low angle first:
- 4.329 Å, 2θ = 20.5°, I = 7.3
- 2.525 Å, 2θ = 35.6°, I = 100.0
- 2.164 Å, 2θ = 41.7°, I = 21.4
- 2.094 Å, 2θ = 43.2°, I = 58.2
- 1.582 Å, 2θ = 58.3°, I = 23.9
- 1.397 Å, 2θ = 67.0°, I = 15.7
- 1.341 Å, 2θ = 70.2°, I = 13.7
- 1.277 Å, 2θ = 74.2°, I = 23.4
- 1.263 Å, 2θ = 75.3°, I = 11.3
- 1.174 Å, 2θ = 82.1°, I = 9.0

Unit cell a=3.165 b=3.165 c=12.986 alpha=90.00 beta=90.00 gamma=120.00
Positions (direct):
In  0.000  0.000  0.000
In  0.333  0.667  0.667
In  0.667  0.333  0.333
Pt  0.000  0.000  0.500
Pt  0.333  0.667  0.167
Pt  0.667  0.333  0.833

***

No. 6
# Er2ZnTc
Computed powder X-ray diffraction pattern, copper Kα. Input: a structure optimized by DFT (GGA-PBE).
No peak broadening, texture or thermal motion is included.

Principal peaks in the range 2θ = 15–90°, low angle first:
- 3.995 Å, 2θ = 22.3°, I = 0.9
- 3.460 Å, 2θ = 25.8°, I = 12.2
- 2.446 Å, 2θ = 36.7°, I = 100.0
- 1.997 Å, 2θ = 45.4°, I = 3.7
- 1.730 Å, 2θ = 52.9°, I = 17.4
- 1.547 Å, 2θ = 59.8°, I = 5.2
- 1.412 Å, 2θ = 66.2°, I = 35.3
- 1.223 Å, 2θ = 78.1°, I = 10.9
- 1.153 Å, 2θ = 83.9°, I = 2.7
- 1.094 Å, 2θ = 89.6°, I = 16.1

Unit cell a=6.919 b=6.919 c=6.919 alpha=90.00 beta=90.00 gamma=90.00
Positions (direct):
Er  0.250  0.250  0.250
Er  0.250  0.250  0.750
Er  0.250  0.750  0.250
Er  0.250  0.750  0.750
Er  0.750  0.250  0.250
Er  0.750  0.250  0.750
Er  0.750  0.750  0.250
Er  0.750  0.750  0.750
Zn  0.000  0.000  0.000
Zn  0.000  0.500  0.500
Zn  0.500  0.000  0.500
Zn  0.500  0.500  0.000
Tc  0.000  0.000  0.500
Tc  0.000  0.500  0.000
Tc  0.500  0.000  0.000
Tc  0.500  0.500  0.500

***

No. 7
# Mg4Ti3
Computed powder X-ray diffraction pattern, copper Kα. Input: a structure optimized by DFT (GGA-PBE).
No peak broadening, texture or thermal motion is included.

Principal peaks in the range 2θ = 15–90°, low angle first:
- 2.682 Å, 2θ = 33.4°, I = 25.0
- 2.442 Å, 2θ = 36.8°, I = 26.2
- 2.351 Å, 2θ = 38.3°, I = 100.0
- 2.309 Å, 2θ = 39.0°, I = 4.4
- 1.889 Å, 2θ = 48.2°, I = 4.6
- 1.806 Å, 2θ = 50.5°, I = 14.2
- 1.549 Å, 2θ = 59.7°, I = 14.1
- 1.392 Å, 2θ = 67.3°, I = 16.7
- 1.308 Å, 2θ = 72.2°, I = 15.2
- 1.293 Å, 2θ = 73.2°, I = 10.1

Unit cell a=8.194 b=8.194 c=4.884 alpha=90.00 beta=90.00 gamma=120.00
Positions (direct):
Mg  0.089  0.626  0.250
Mg  0.333  0.667  0.750
Mg  0.374  0.463  0.250
Mg  0.463  0.089  0.750
Mg  0.537  0.911  0.250
Mg  0.626  0.537  0.750
Mg  0.667  0.333  0.250
Mg  0.911  0.374  0.750
Ti  0.041  0.829  0.750
Ti  0.171  0.212  0.750
Ti  0.212  0.041  0.250
Ti  0.788  0.959  0.750
Ti  0.829  0.788  0.250
Ti  0.959  0.171  0.250

***

No. 8
# Er2ReC2
Computed powder X-ray diffraction pattern, copper Kα. Input: a structure optimized by DFT (GGA-PBE).
No peak broadening, texture or thermal motion is included.

Principal peaks in the range 2θ = 15–90°, low angle first:
- 2.920 Å, 2θ = 30.6°, I = 15.3
- 2.744 Å, 2θ = 32.6°, I = 100.0
- 2.718 Å, 2θ = 33.0°, I = 22.3
- 2.644 Å, 2θ = 33.9°, I = 79.4
- 2.531 Å, 2θ = 35.5°, I = 98.8
- 2.309 Å, 2θ = 39.0°, I = 15.4
- 1.853 Å, 2θ = 49.2°, I = 15.3
- 1.549 Å, 2θ = 59.7°, I = 27.6
- 1.500 Å, 2θ = 61.9°, I = 16.7
- 1.482 Å, 2θ = 62.7°, I = 20.7

Unit cell a=6.534 b=5.065 c=9.793 alpha=90.00 beta=90.00 gamma=90.00
Positions (direct):
Er  0.034  0.250  0.217
Er  0.179  0.250  0.557
Er  0.321  0.750  0.057
Er  0.466  0.750  0.717
Er  0.534  0.250  0.283
Er  0.679  0.250  0.943
Er  0.821  0.750  0.443
Er  0.966  0.750  0.783
Re  0.218  0.250  0.868
Re  0.282  0.750  0.368
Re  0.718  0.250  0.632
Re  0.782  0.750  0.132
C  0.049  0.750  0.241
C  0.175  0.750  0.552
C  0.325  0.250  0.052
C  0.451  0.250  0.741
C  0.549  0.750  0.259
C  0.675  0.750  0.948
C  0.825  0.250  0.448
C  0.951  0.250  0.759

***

- Number 7 is which compound?
  Mg4Ti3

***

What did the eighth record say?
# Er2ReC2
Computed powder X-ray diffraction pattern, copper Kα. Input: a structure optimized by DFT (GGA-PBE).
No peak broadening, texture or thermal motion is included.

Principal peaks in the range 2θ = 15–90°, low angle first:
- 2.920 Å, 2θ = 30.6°, I = 15.3
- 2.744 Å, 2θ = 32.6°, I = 100.0
- 2.718 Å, 2θ = 33.0°, I = 22.3
- 2.644 Å, 2θ = 33.9°, I = 79.4
- 2.531 Å, 2θ = 35.5°, I = 98.8
- 2.309 Å, 2θ = 39.0°, I = 15.4
- 1.853 Å, 2θ = 49.2°, I = 15.3
- 1.549 Å, 2θ = 59.7°, I = 27.6
- 1.500 Å, 2θ = 61.9°, I = 16.7
- 1.482 Å, 2θ = 62.7°, I = 20.7

Unit cell a=6.534 b=5.065 c=9.793 alpha=90.00 beta=90.00 gamma=90.00
Positions (direct):
Er  0.034  0.250  0.217
Er  0.179  0.250  0.557
Er  0.321  0.750  0.057
Er  0.466  0.750  0.717
Er  0.534  0.250  0.283
Er  0.679  0.250  0.943
Er  0.821  0.750  0.443
Er  0.966  0.750  0.783
Re  0.218  0.250  0.868
Re  0.282  0.750  0.368
Re  0.718  0.250  0.632
Re  0.782  0.750  0.132
C  0.049  0.750  0.241
C  0.175  0.750  0.552
C  0.325  0.250  0.052
C  0.451  0.250  0.741
C  0.549  0.750  0.259
C  0.675  0.750  0.948
C  0.825  0.250  0.448
C  0.951  0.250  0.759